MnIn2Se4: simulated X-ray diffraction stick pattern (Cu Kα (λ = 1.5418 Å)), based on a crystal structure in the Materials Project, relaxed with PBE.

Largest 6 diffraction maxima, sorted by position, 10° ≤ 2θ ≤ 80°:
d/Å	intensity
4.471	68
3.633	55
3.080	45
2.953	54
2.106	100
1.986	68

Atomic structure:
```
MnIn2Se4
1.0
2.106 1.216 13.414
-2.106 1.216 13.414
0.000 -2.432 13.414
Mn In Se
1 2 4
direct
0.000 0.000 0.000 Mn
0.235 0.235 0.235 In
0.466 0.466 0.466 In
0.106 0.106 0.106 Se
0.349 0.349 0.349 Se
0.531 0.531 0.531 Se
0.936 0.936 0.936 Se
```